Record 1
# KTe5
Simulated powder X-ray diffraction pattern, Cu Ka. Input: a DFT-relaxed cell (GGA-PBE, Alexandria).
Peak positions follow from Bragg's law for the DFT cell and can differ from measured ones.

Most intense lines, 10 to 90 degrees two-theta, low angle first:
two_theta	I/Imax
10.97	32
13.13	23
22.05	41
23.10	22
26.66	24
28.44	100
30.57	21
33.34	23
36.28	45
41.19	23
41.68	22
44.38	32

```
KTe5
1.0
4.383 0.000 0.000
0.000 13.483 0.000
0.000 0.000 8.063
K Te
2 10
direct
0.250 0.250 0.010
0.750 0.750 0.990
0.250 0.250 0.516
0.250 0.540 0.130
0.250 0.589 0.474
0.250 0.911 0.474
0.250 0.960 0.130
0.750 0.040 0.870
0.750 0.089 0.526
0.750 0.411 0.526
0.750 0.460 0.870
0.750 0.750 0.484
```



Record 2
# K3Te5
Simulated powder X-ray diffraction pattern, Cu Ka. Input: a DFT-relaxed cell (GGA-PBE, Alexandria).
Peak positions follow from Bragg's law for the DFT cell and can differ from measured ones.

Most intense lines, 10 to 90 degrees two-theta, low angle first:
two_theta	I/Imax
18.71	100
19.83	21
23.44	24
27.52	71
30.89	90
32.51	20
36.10	18
36.55	42
39.74	41
39.82	16
48.58	33
55.07	16

```
K3Te5
1.0
0.000 10.419 8.955
3.481 0.000 8.955
3.481 10.419 0.000
K Te
6 10
direct
0.000 0.000 0.000
0.250 0.250 0.250
0.385 0.644 0.296
0.575 0.954 0.606
0.644 0.385 0.675
0.954 0.575 0.865
0.064 0.782 0.303
0.148 0.546 0.044
0.206 0.988 0.102
0.399 0.947 0.468
0.413 0.413 0.587
0.546 0.148 0.262
0.663 0.663 0.837
0.782 0.064 0.851
0.947 0.399 0.186
0.988 0.206 0.704
```



Record 3
# K5Te3
Simulated powder X-ray diffraction pattern, Cu Ka. Input: a DFT-relaxed cell (GGA-PBE, Alexandria).
Peak positions follow from Bragg's law for the DFT cell and can differ from measured ones.

Most intense lines, 10 to 90 degrees two-theta, low angle first:
two_theta	I/Imax
19.85	88
20.29	76
27.01	49
28.85	94
29.99	100
30.49	73
37.66	67
38.07	49
39.21	40
50.24	46
54.81	29
55.66	60

```
K5Te3
1.0
-6.919 6.919 3.237
6.919 -6.919 3.237
6.919 6.919 -3.237
K Te
10 6
direct
0.088 0.781 0.869
0.219 0.088 0.307
0.250 0.750 0.500
0.276 0.591 0.866
0.409 0.276 0.685
0.591 0.724 0.315
0.724 0.409 0.134
0.750 0.250 0.500
0.781 0.912 0.693
0.912 0.219 0.131
0.155 0.344 0.499
0.280 0.280 0.000
0.344 0.845 0.189
0.656 0.155 0.811
0.720 0.720 0.000
0.845 0.656 0.501
```



Record 4
# K3Te
Simulated powder X-ray diffraction pattern, Cu Ka. Input: a DFT-relaxed cell (GGA-PBE, Alexandria).
Peak positions follow from Bragg's law for the DFT cell and can differ from measured ones.

Most intense lines, 10 to 90 degrees two-theta, low angle first:
two_theta	I/Imax
11.62	68
17.19	24
19.11	22
24.55	100
26.70	48
28.47	33
29.28	62
35.20	23
36.15	17
39.16	27
42.80	21
44.72	22

```
K3Te
1.0
5.231 0.000 0.000
0.000 5.099 0.000
-1.282 0.000 7.613
K Te
3 1
direct
0.000 0.000 0.000
0.382 0.500 0.690
0.618 0.500 0.310
0.000 0.000 0.500
```



Record 5
# K3Te
Simulated powder X-ray diffraction pattern, Cu Ka. Input: a DFT-relaxed cell (GGA-PBE, Alexandria).
Peak positions follow from Bragg's law for the DFT cell and can differ from measured ones.

Most intense lines, 10 to 90 degrees two-theta, low angle first:
two_theta	I/Imax
17.99	25
20.49	73
26.66	27
27.40	100
29.45	31
32.35	94
36.45	38
37.81	22
42.17	21
47.53	30
60.22	20
63.03	24

```
K3Te
1.0
4.930 0.000 0.000
0.000 4.930 0.000
0.000 0.000 9.100
K Te
3 1
direct
0.000 0.000 0.000
0.000 0.500 0.699
0.500 0.000 0.301
0.500 0.500 0.000
```



Record 6
# KTh6Te12
Simulated powder X-ray diffraction pattern, Cu Ka. Input: a DFT-relaxed cell (GGA-PBE, Alexandria).
Peak positions follow from Bragg's law for the DFT cell and can differ from measured ones.

Most intense lines, 10 to 90 degrees two-theta, low angle first:
two_theta	I/Imax
10.97	36
11.70	63
22.04	40
26.02	42
31.01	100
32.46	53
33.33	54
34.61	34
37.75	55
38.60	44
40.47	32
51.11	31

```
KTh6Te12
1.0
7.564 4.367 3.411
-7.564 4.367 3.411
0.000 -8.735 3.411
K Th Te
1 6 12
direct
0.000 0.000 0.000
0.279 0.279 0.718
0.279 0.718 0.279
0.282 0.721 0.721
0.718 0.279 0.279
0.721 0.282 0.721
0.721 0.721 0.282
0.118 0.500 0.882
0.118 0.882 0.500
0.141 0.404 0.404
0.404 0.141 0.404
0.404 0.404 0.141
0.500 0.118 0.882
0.500 0.882 0.118
0.596 0.596 0.859
0.596 0.859 0.596
0.859 0.596 0.596
0.882 0.118 0.500
0.882 0.500 0.118
```



Record 7
# K3Th3TlTe8
Simulated powder X-ray diffraction pattern, Cu Ka. Input: a DFT-relaxed cell (GGA-PBE, Alexandria).
Peak positions follow from Bragg's law for the DFT cell and can differ from measured ones.

Most intense lines, 10 to 90 degrees two-theta, low angle first:
two_theta	I/Imax
10.91	61
22.25	18
26.44	100
33.99	22
36.96	36
38.50	37
40.14	17
46.79	13
47.32	19
60.42	13
62.58	16
70.69	12

```
K3Th3TlTe8
1.0
4.676 2.700 8.112
-4.676 2.700 8.112
0.000 -5.399 8.112
K Th Tl Te
3 3 1 8
direct
0.000 0.500 0.500
0.500 0.000 0.500
0.500 0.500 0.000
0.000 0.000 0.500
0.000 0.500 0.000
0.500 0.000 0.000
0.500 0.500 0.500
0.210 0.751 0.751
0.239 0.239 0.239
0.249 0.249 0.790
0.249 0.790 0.249
0.751 0.210 0.751
0.751 0.751 0.210
0.761 0.761 0.761
0.790 0.249 0.249
```



Record 8
# K4TiTe4
Simulated powder X-ray diffraction pattern, Cu Ka. Input: a DFT-relaxed cell (GGA-PBE, Alexandria).
Peak positions follow from Bragg's law for the DFT cell and can differ from measured ones.

Most intense lines, 10 to 90 degrees two-theta, low angle first:
two_theta	I/Imax
12.55	46
19.98	100
25.13	33
30.85	19
31.16	42
33.46	28
33.90	32
38.28	13
40.19	14
42.16	11
49.95	16
51.58	11

```
K4TiTe4
1.0
-4.099 4.099 6.922
4.099 -4.099 6.922
4.099 4.099 -6.922
K Ti Te
4 1 4
direct
0.000 0.500 0.500
0.195 0.195 0.000
0.500 0.000 0.500
0.805 0.805 0.000
0.500 0.500 0.000
0.203 0.203 0.629
0.426 0.797 0.000
0.574 0.574 0.371
0.797 0.426 0.000
```



Record 9
# K2TlTe3
Simulated powder X-ray diffraction pattern, Cu Ka. Input: a DFT-relaxed cell (GGA-PBE, Alexandria).
Peak positions follow from Bragg's law for the DFT cell and can differ from measured ones.

Most intense lines, 10 to 90 degrees two-theta, low angle first:
two_theta	I/Imax
14.41	76
14.85	100
21.46	16
25.61	20
29.05	37
29.95	24
33.92	47
36.41	26
40.26	30
46.43	18
50.98	18
53.91	16

```
K2TlTe3
1.0
8.281 0.000 0.000
-4.140 7.171 0.000
0.000 0.000 11.933
K Tl Te
4 2 6
direct
0.000 0.000 0.000
0.000 0.000 0.500
0.333 0.667 0.248
0.667 0.333 0.752
0.333 0.667 0.750
0.667 0.333 0.250
0.136 0.272 0.750
0.136 0.864 0.750
0.272 0.136 0.250
0.728 0.864 0.750
0.864 0.136 0.250
0.864 0.728 0.250
```



Record 10
# K5Tl2Te5
Simulated powder X-ray diffraction pattern, Cu Ka. Input: a DFT-relaxed cell (GGA-PBE, Alexandria).
Peak positions follow from Bragg's law for the DFT cell and can differ from measured ones.

Most intense lines, 10 to 90 degrees two-theta, low angle first:
two_theta	I/Imax
11.48	54
12.89	52
15.92	36
18.47	37
23.08	48
26.66	71
29.57	33
29.83	100
30.55	68
31.42	46
34.44	32
38.60	52

```
K5Tl2Te5
1.0
6.019 0.000 0.000
-2.249 7.892 0.000
-0.368 -2.200 10.041
K Tl Te
5 2 5
direct
0.000 0.000 0.000
0.151 0.403 0.811
0.393 0.732 0.440
0.607 0.268 0.560
0.849 0.597 0.189
0.439 0.845 0.795
0.561 0.155 0.205
0.000 0.000 0.500
0.113 0.274 0.325
0.406 0.759 0.089
0.594 0.241 0.911
0.887 0.726 0.675
```



Record 11
# K3Tl2Te3
Simulated powder X-ray diffraction pattern, Cu Ka. Input: a DFT-relaxed cell (GGA-PBE, Alexandria).
Peak positions follow from Bragg's law for the DFT cell and can differ from measured ones.

Most intense lines, 10 to 90 degrees two-theta, low angle first:
two_theta	I/Imax
10.36	40
11.45	54
19.36	26
19.63	23
25.57	25
28.26	16
29.60	100
31.42	20
36.44	34
36.52	26
37.82	19
41.70	18

```
K3Tl2Te3
1.0
2.460 -7.731 0.000
2.460 7.731 0.000
0.000 0.000 17.084
K Tl Te
6 4 6
direct
0.062 0.938 0.614
0.062 0.938 0.886
0.321 0.679 0.750
0.679 0.321 0.250
0.938 0.062 0.114
0.938 0.062 0.386
0.236 0.764 0.082
0.236 0.764 0.418
0.764 0.236 0.582
0.764 0.236 0.918
0.344 0.656 0.250
0.399 0.601 0.547
0.399 0.601 0.953
0.601 0.399 0.047
0.601 0.399 0.453
0.656 0.344 0.750
```